# Pr2Ge2Ir3
Computed PXRD pattern, Cu Kα (weighted mean of Kα1 and Kα2). Input: a cell relaxed with GGA-PBE.
Intensities are scaled so that the largest is 100.

Crystal structure
```
Pr2Ge2Ir3
1.0
5.591 0.000 0.000
0.000 4.152 0.000
-2.257 0.000 7.429
Pr Ge Ir
2 2 3
direct
0.127 0.000 0.268
0.873 0.000 0.732
0.373 0.500 0.750
0.627 0.500 0.250
0.000 0.500 0.500
0.232 0.500 0.021
0.768 0.500 0.979
```

Top 6 peaks for 2θ from 15° to 90°, low angle first:
2θ = 16.57°, d 5.350, rel. 46
2θ = 21.40°, d 4.152, rel. 45
2θ = 32.34°, d 2.768, rel. 80
2θ = 33.06°, d 2.710, rel. 75
2θ = 38.94°, d 2.313, rel. 100
2θ = 43.60°, d 2.076, rel. 38

---

# Pr2TiGe4Ir3
Computed PXRD pattern, Cu Kα (weighted mean of Kα1 and Kα2). Input: a cell relaxed with GGA-PBE.
Intensities are scaled so that the largest is 100.

Crystal structure
```
Pr2TiGe4Ir3
1.0
4.249 0.000 0.000
0.000 4.249 0.000
0.000 0.000 10.668
Pr Ti Ge Ir
2 1 4 3
direct
0.000 0.500 0.243
0.500 0.000 0.757
0.000 0.000 0.500
0.000 0.000 0.000
0.000 0.500 0.643
0.500 0.000 0.357
0.500 0.500 0.000
0.000 0.500 0.877
0.500 0.000 0.123
0.500 0.500 0.500
```

Top 6 peaks for 2θ from 15° to 90°, low angle first:
2θ = 32.84°, d 2.727, rel. 96
2θ = 34.26°, d 2.618, rel. 100
2θ = 42.55°, d 2.124, rel. 82
2θ = 45.48°, d 1.995, rel. 37
2θ = 47.70°, d 1.907, rel. 39
2θ = 54.77°, d 1.676, rel. 45

---

# Pr2ZnGe3Ir4
Computed PXRD pattern, Cu Kα (weighted mean of Kα1 and Kα2). Input: a cell relaxed with GGA-PBE.
Intensities are scaled so that the largest is 100.

Crystal structure
```
Pr2ZnGe3Ir4
1.0
4.251 0.000 0.000
0.000 4.251 0.000
0.000 0.000 10.381
Pr Zn Ge Ir
2 1 3 4
direct
0.000 0.500 0.248
0.500 0.000 0.752
0.500 0.500 0.000
0.000 0.000 0.000
0.000 0.500 0.630
0.500 0.000 0.370
0.000 0.000 0.500
0.000 0.500 0.867
0.500 0.000 0.133
0.500 0.500 0.500
```

Top 6 peaks for 2θ from 15° to 90°, low angle first:
2θ = 30.97°, d 2.888, rel. 26
2θ = 33.39°, d 2.684, rel. 53
2θ = 34.48°, d 2.601, rel. 100
2θ = 42.53°, d 2.126, rel. 67
2θ = 46.21°, d 1.965, rel. 36
2θ = 48.82°, d 1.866, rel. 27

---

# Ge4Ir2Pt
Computed PXRD pattern, Cu Kα (weighted mean of Kα1 and Kα2). Input: a cell relaxed with GGA-PBE.
Intensities are scaled so that the largest is 100.

Crystal structure
```
Ge4Ir2Pt
1.0
6.124 -1.843 0.000
6.124 1.843 0.000
-2.551 0.000 5.701
Ge Ir Pt
4 2 1
direct
0.099 0.099 0.296
0.337 0.337 0.152
0.663 0.663 0.848
0.901 0.901 0.704
0.246 0.246 0.694
0.754 0.754 0.306
0.500 0.500 0.000
```

Top 6 peaks for 2θ from 15° to 90°, low angle first:
2θ = 17.09°, d 5.189, rel. 65
2θ = 28.15°, d 3.170, rel. 100
2θ = 33.27°, d 2.693, rel. 59
2θ = 41.87°, d 2.158, rel. 62
2θ = 43.42°, d 2.084, rel. 57
2θ = 44.41°, d 2.040, rel. 67

---

# Y2Ge4IrPt3
Computed PXRD pattern, Cu Kα (weighted mean of Kα1 and Kα2). Input: a cell relaxed with GGA-PBE.
Intensities are scaled so that the largest is 100.

Crystal structure
```
Y2Ge4IrPt3
1.0
4.134 0.000 0.000
0.000 4.134 0.000
0.000 0.000 10.842
Y Ge Ir Pt
2 4 1 3
direct
0.000 0.500 0.241
0.500 0.000 0.759
0.000 0.000 0.500
0.000 0.500 0.865
0.500 0.000 0.135
0.500 0.500 0.500
0.500 0.500 0.000
0.000 0.000 0.000
0.000 0.500 0.641
0.500 0.000 0.359
```

Top 6 peaks for 2θ from 15° to 90°, low angle first:
2θ = 31.71°, d 2.822, rel. 26
2θ = 32.92°, d 2.721, rel. 35
2θ = 34.87°, d 2.573, rel. 100
2θ = 43.80°, d 2.067, rel. 63
2θ = 45.65°, d 1.988, rel. 53
2θ = 47.34°, d 1.920, rel. 30

---

# Pu3GeIr
Computed PXRD pattern, Cu Kα (weighted mean of Kα1 and Kα2). Input: a cell relaxed with GGA-PBE.
Intensities are scaled so that the largest is 100.

Crystal structure
```
Pu3GeIr
1.0
4.766 0.000 0.000
0.000 6.835 0.000
0.000 0.000 6.724
Pu Ge Ir
6 2 2
direct
0.250 0.040 0.224
0.250 0.250 0.719
0.250 0.460 0.224
0.750 0.540 0.776
0.750 0.750 0.281
0.750 0.960 0.776
0.250 0.750 0.560
0.750 0.250 0.440
0.250 0.750 0.941
0.750 0.250 0.059
```

Top 6 peaks for 2θ from 15° to 90°, low angle first:
2θ = 26.51°, d 3.362, rel. 20
2θ = 34.95°, d 2.567, rel. 100
2θ = 35.21°, d 2.549, rel. 50
2θ = 37.75°, d 2.383, rel. 36
2θ = 57.67°, d 1.599, rel. 21
2θ = 66.36°, d 1.409, rel. 16